Record 1
Computed powder X-ray diffraction pattern
Compound: Er7Tl5
Radiation: a wavelength of 1.5418 Å
Structure: a DFT-relaxed cell (PBE, Alexandria)
Peak positions follow from Bragg's law for the DFT cell and can differ from measured ones.

Largest 10 diffraction maxima, in order of rising 2θ, 15° ≤ 2θ ≤ 90°:
2θ/deg  I (rel.)
29.37  15
31.89  47
32.47  100
32.69  92
35.88  50
44.69  18
48.75  30
57.08  17
62.35  17
62.48  15

Cell and atoms:
abc: 6.582 6.582 11.974
angles: 108.78 108.78 44.69
Atoms (fractional coordinates):
Er 0.000 0.000 0.000
Er 0.144 0.144 0.784
Er 0.150 0.150 0.502
Er 0.427 0.427 0.737
Er 0.573 0.573 0.263
Er 0.850 0.850 0.498
Er 0.856 0.856 0.216
Tl 0.234 0.234 0.282
Tl 0.347 0.347 0.030
Tl 0.500 0.500 0.500
Tl 0.653 0.653 0.970
Tl 0.766 0.766 0.718

Record 2
Computed powder X-ray diffraction pattern
Compound: Er13Tl2
Radiation: a wavelength of 1.5418 Å
Structure: a DFT-relaxed cell (PBE, Alexandria)
Peak positions follow from Bragg's law for the DFT cell and can differ from measured ones.

Largest 10 diffraction maxima, in order of rising 2θ, 15° ≤ 2θ ≤ 90°:
2θ/deg  I (rel.)
31.52  40
32.08  45
32.32  100
33.15  41
33.30  46
44.19  15
47.35  14
48.04  14
58.85  15
59.11  15

Cell and atoms:
abc: 6.662 8.479 8.800
angles: 66.75 78.83 82.56
Atoms (fractional coordinates):
Er 0.000 0.000 0.000
Er 0.120 0.481 0.738
Er 0.199 0.228 0.151
Er 0.258 0.940 0.583
Er 0.306 0.654 0.973
Er 0.373 0.410 0.389
Er 0.489 0.146 0.796
Er 0.511 0.854 0.204
Er 0.627 0.590 0.611
Er 0.694 0.346 0.027
Er 0.742 0.060 0.417
Er 0.801 0.772 0.849
Er 0.880 0.519 0.262
Tl 0.060 0.770 0.380
Tl 0.940 0.230 0.620

Record 3
Computed powder X-ray diffraction pattern
Compound: ErTm7Tl2
Radiation: a wavelength of 1.5418 Å
Structure: a DFT-relaxed cell (PBE, Alexandria)
Peak positions follow from Bragg's law for the DFT cell and can differ from measured ones.

Largest 10 diffraction maxima, in order of rising 2θ, 15° ≤ 2θ ≤ 90°:
2θ/deg  I (rel.)
16.97  56
19.58  30
20.45  29
28.76  45
30.41  60
34.35  69
34.79  73
35.18  100
46.51  47
61.99  48

Cell and atoms:
abc: 8.953 8.953 5.224
angles: 90.00 90.00 119.17
Atoms (fractional coordinates):
Er 0.000 0.000 0.000
Tm 0.062 0.301 0.500
Tm 0.224 0.776 0.000
Tm 0.301 0.062 0.500
Tm 0.500 0.500 0.500
Tm 0.699 0.938 0.500
Tm 0.776 0.224 0.000
Tm 0.938 0.699 0.500
Tl 0.307 0.693 0.500
Tl 0.693 0.307 0.500

Record 4
Computed powder X-ray diffraction pattern
Compound: Er7Tm4Tl
Radiation: a wavelength of 1.5418 Å
Structure: a DFT-relaxed cell (PBE, Alexandria)
Peak positions follow from Bragg's law for the DFT cell and can differ from measured ones.

Largest 10 diffraction maxima, in order of rising 2θ, 15° ≤ 2θ ≤ 90°:
2θ/deg  I (rel.)
32.03  97
32.67  100
46.40  35
56.67  16
57.90  36
58.31  19
66.97  10
68.46  12
76.52  13
77.58  16

Cell and atoms:
abc: 5.482 5.482 13.828
angles: 90.00 90.00 120.00
Atoms (fractional coordinates):
Er 0.000 0.000 0.000
Er 0.000 0.000 0.267
Er 0.000 0.000 0.733
Er 0.333 0.667 0.173
Er 0.333 0.667 0.422
Er 0.667 0.333 0.578
Er 0.667 0.333 0.827
Tm 0.333 0.667 0.690
Tm 0.333 0.667 0.929
Tm 0.667 0.333 0.071
Tm 0.667 0.333 0.310
Tl 0.000 0.000 0.500

Record 5
Computed powder X-ray diffraction pattern
Compound: ErTm5Tl3
Radiation: a wavelength of 1.5418 Å
Structure: a DFT-relaxed cell (PBE, Alexandria)
Peak positions follow from Bragg's law for the DFT cell and can differ from measured ones.

Largest 10 diffraction maxima, in order of rising 2θ, 15° ≤ 2θ ≤ 90°:
2θ/deg  I (rel.)
33.19  89
33.56  100
43.47  14
47.91  32
59.76  33
60.00  19
66.23  29
70.53  12
80.20  14
86.00  14

Cell and atoms:
abc: 9.251 9.251 6.649
angles: 90.00 90.00 120.00
Atoms (fractional coordinates):
Er 0.000 0.000 0.000
Er 0.000 0.000 0.500
Tm 0.000 0.333 0.250
Tm 0.000 0.667 0.750
Tm 0.333 0.000 0.250
Tm 0.333 0.333 0.750
Tm 0.333 0.667 0.000
Tm 0.333 0.667 0.500
Tm 0.667 0.000 0.750
Tm 0.667 0.333 0.000
Tm 0.667 0.333 0.500
Tm 0.667 0.667 0.250
Tl 0.000 0.334 0.750
Tl 0.000 0.666 0.250
Tl 0.334 0.000 0.750
Tl 0.334 0.334 0.250
Tl 0.666 0.000 0.250
Tl 0.666 0.666 0.750

Record 6
Computed powder X-ray diffraction pattern
Compound: Er2Tm3Tl4
Radiation: a wavelength of 1.5418 Å
Structure: a DFT-relaxed cell (PBE, Alexandria)
Peak positions follow from Bragg's law for the DFT cell and can differ from measured ones.

Largest 10 diffraction maxima, in order of rising 2θ, 15° ≤ 2θ ≤ 90°:
2θ/deg  I (rel.)
29.29  21
29.73  17
31.02  25
31.79  100
32.55  59
34.07  21
38.76  17
39.33  15
49.23  19
51.66  16

Cell and atoms:
abc: 8.639 8.639 9.292
angles: 90.00 90.00 131.63
Atoms (fractional coordinates):
Er 0.110 0.890 0.937
Er 0.390 0.610 0.437
Er 0.610 0.390 0.563
Er 0.890 0.110 0.063
Tm 0.000 0.000 0.500
Tm 0.040 0.460 0.750
Tm 0.460 0.040 0.250
Tm 0.500 0.500 0.000
Tm 0.540 0.960 0.750
Tm 0.960 0.540 0.250
Tl 0.192 0.808 0.538
Tl 0.234 0.266 0.750
Tl 0.266 0.234 0.250
Tl 0.308 0.692 0.038
Tl 0.692 0.308 0.962
Tl 0.734 0.766 0.750
Tl 0.766 0.734 0.250
Tl 0.808 0.192 0.462

Record 7
Computed powder X-ray diffraction pattern
Compound: Er4Tm3Tl2
Radiation: a wavelength of 1.5418 Å
Structure: a DFT-relaxed cell (PBE, Alexandria)
Peak positions follow from Bragg's law for the DFT cell and can differ from measured ones.

Largest 10 diffraction maxima, in order of rising 2θ, 15° ≤ 2θ ≤ 90°:
2θ/deg  I (rel.)
31.90  40
32.59  100
32.98  81
33.66  46
47.05  44
57.03  11
59.09  16
59.52  18
59.76  15
77.94  10

Cell and atoms:
abc: 6.533 6.533 10.102
angles: 122.43 122.43 48.11
Atoms (fractional coordinates):
Er 0.098 0.098 0.429
Er 0.266 0.266 0.917
Er 0.734 0.734 0.083
Er 0.902 0.902 0.571
Tm 0.000 0.000 0.000
Tm 0.354 0.354 0.322
Tm 0.646 0.646 0.678
Tl 0.416 0.416 0.747
Tl 0.584 0.584 0.253

Record 8
Computed powder X-ray diffraction pattern
Compound: Y6Er8Tl
Radiation: a wavelength of 1.5418 Å
Structure: a DFT-relaxed cell (PBE, Alexandria)
Peak positions follow from Bragg's law for the DFT cell and can differ from measured ones.

Largest 10 diffraction maxima, in order of rising 2θ, 15° ≤ 2θ ≤ 90°:
2θ/deg  I (rel.)
27.32  14
31.92  100
32.70  26
35.22  14
36.02  8
37.53  8
43.12  8
57.87  18
63.70  8
82.43  9

Cell and atoms:
abc: 9.972 9.972 5.477
angles: 90.00 90.00 120.00
Atoms (fractional coordinates):
Y 0.010 0.214 0.000
Y 0.204 0.990 0.000
Y 0.428 0.420 0.000
Y 0.580 0.008 0.000
Y 0.786 0.796 0.000
Y 0.992 0.572 0.000
Er 0.000 0.000 0.500
Er 0.212 0.424 0.500
Er 0.212 0.788 0.500
Er 0.333 0.667 0.000
Er 0.425 0.189 0.500
Er 0.576 0.788 0.500
Er 0.764 0.575 0.500
Er 0.811 0.236 0.500
Tl 0.667 0.333 0.000